Diffraction record for NaP2H5CO6. The XRD peak list is theoretical, not measured: it uses a structure optimized by DFT (PBE) and copper Kα.
No peak broadening, texture or thermal motion is included.

Cell and atoms:
```
data_NaP2H5CO6
_chemical_formula_sum 'Na4 P8 H20 C4 O24'
_space_group_name_H-M_alt 'P 1'
_space_group_IT_number 1
_cell_length_a 8.4054
_cell_length_b 8.2198
_cell_length_c 12.2434
_cell_angle_alpha 90.00
_cell_angle_beta 125.98
_cell_angle_gamma 90.00
loop_
_space_group_symop_operation_xyz
'x,y,z'
loop_
_atom_site_label
_atom_site_fract_x
_atom_site_fract_y
_atom_site_fract_z
Na1 0.0000 0.0000 0.0000
Na2 0.0000 0.5000 0.5000
Na3 0.5000 0.0000 0.5000
Na4 0.5000 0.5000 0.0000
P1 0.0218 0.1330 0.3268
P2 0.0218 0.3670 0.8268
P3 0.3978 0.7380 0.2475
P4 0.3978 0.7620 0.7475
P5 0.6022 0.2380 0.2525
P6 0.6022 0.2620 0.7525
P7 0.9782 0.6330 0.1732
P8 0.9782 0.8670 0.6732
H1 0.0776 0.6902 0.8376
H2 0.0776 0.8098 0.3376
H3 0.1678 0.5387 0.1014
H4 0.1678 0.9612 0.6014
H5 0.2789 0.2361 0.0081
H6 0.2789 0.2639 0.5081
H7 0.2800 0.0117 0.7737
H8 0.2800 0.4883 0.2737
H9 0.4074 0.0462 0.2401
H10 0.4074 0.4538 0.7401
H11 0.5926 0.5462 0.2599
H12 0.5926 0.9538 0.7599
H13 0.7200 0.5117 0.7263
H14 0.7200 0.9883 0.2263
H15 0.7211 0.7361 0.4919
H16 0.7211 0.7639 0.9919
H17 0.8322 0.0388 0.3986
H18 0.8322 0.4612 0.8986
H19 0.9224 0.1902 0.6624
H20 0.9224 0.3098 0.1624
C1 0.2077 0.5866 0.1985
C2 0.2077 0.9134 0.6985
C3 0.7923 0.0866 0.3015
C4 0.7923 0.4134 0.8015
O1 0.0235 0.6921 0.3113
O2 0.0235 0.8079 0.8113
O3 0.1198 0.2244 0.9321
O4 0.1198 0.2756 0.4321
O5 0.1506 0.5168 0.8753
O6 0.1506 0.9832 0.3753
O7 0.3059 0.6075 0.6654
O8 0.3059 0.8925 0.1654
O9 0.4757 0.1526 0.2945
O10 0.4759 0.2362 0.5997
O11 0.4759 0.2638 0.0997
O12 0.4757 0.3474 0.7945
O13 0.5243 0.6526 0.2055
O14 0.5241 0.7362 0.9003
O15 0.5241 0.7638 0.4003
O16 0.5243 0.8474 0.7055
O17 0.6941 0.1075 0.8346
O18 0.6941 0.3925 0.3346
O19 0.8494 0.0168 0.6247
O20 0.8494 0.4832 0.1247
O21 0.8802 0.7244 0.5679
O22 0.8802 0.7756 0.0679
O23 0.9765 0.1921 0.1887
O24 0.9765 0.3079 0.6887
```

Largest 6 diffraction maxima, most intense first, 15° ≤ 2θ ≤ 90°:
Position (°2θ)	d (Å)	Rel. int.
18.24	4.863	100
24.51	3.632	51
17.91	4.954	50
26.21	3.401	43
23.43	3.796	36
21.30	4.172	35